Entry 1:
Structure and theoretical X-ray diffraction stick pattern of Na3CoS3 (DFT lattice parameters and positions (GGA-PBE); Cu Ka).
Kinematic intensities with the Lorentz-polarization factor, no thermal factor.

Atomic structure:
Cell lengths 11.654, 11.654, 11.965 Å; angles 90.00, 90.00, 135.90 degrees
Atoms (fractional coordinates):
Na 0.063 0.494 0.620
Na 0.069 0.931 0.500
Na 0.107 0.451 0.902
Na 0.157 0.318 0.409
Na 0.175 0.253 0.707
Na 0.176 0.419 0.151
Na 0.253 0.175 0.207
Na 0.266 0.734 0.317
Na 0.318 0.157 0.909
Na 0.419 0.176 0.651
Na 0.451 0.107 0.402
Na 0.494 0.063 0.120
Na 0.506 0.937 0.620
Na 0.549 0.893 0.902
Na 0.581 0.824 0.151
Na 0.682 0.843 0.409
Na 0.734 0.266 0.817
Na 0.747 0.825 0.707
Na 0.824 0.581 0.651
Na 0.825 0.747 0.207
Na 0.843 0.682 0.909
Na 0.893 0.549 0.402
Na 0.931 0.069 0.000
Na 0.937 0.506 0.120
Co 0.167 0.833 0.728
Co 0.206 0.794 0.955
Co 0.450 0.550 0.855
Co 0.492 0.508 0.057
Co 0.508 0.492 0.557
Co 0.550 0.450 0.355
Co 0.794 0.206 0.455
Co 0.833 0.167 0.228
S 0.001 0.597 0.834
S 0.061 0.939 0.737
S 0.124 0.876 0.071
S 0.140 0.860 0.252
S 0.196 0.804 0.545
S 0.251 0.335 0.964
S 0.289 0.711 0.069
S 0.335 0.251 0.464
S 0.372 0.628 0.736
S 0.403 0.999 0.834
S 0.405 0.595 0.562
S 0.468 0.532 0.238
S 0.532 0.468 0.738
S 0.595 0.405 0.062
S 0.597 0.001 0.334
S 0.628 0.372 0.236
S 0.665 0.749 0.964
S 0.711 0.289 0.569
S 0.749 0.665 0.464
S 0.804 0.196 0.045
S 0.860 0.140 0.752
S 0.876 0.124 0.571
S 0.939 0.061 0.237
S 0.999 0.403 0.334

Top 10 peaks for 10 to 90 degrees two-theta, in order of rising 2θ:
2θ (°), Rel. int.
13.2, 60
15.9, 100
20.3, 29
33.1, 64
34.0, 41
34.7, 33
36.4, 38
41.3, 49
49.5, 25
50.3, 30

Entry 2:
Structure and theoretical X-ray diffraction stick pattern of Na4CoS4 (DFT lattice parameters and positions (GGA-PBE); Cu Ka).
Kinematic intensities with the Lorentz-polarization factor, no thermal factor.

Atomic structure:
Cell lengths 7.722, 7.722, 6.625 Å; angles 90.00, 90.00, 90.00 degrees
Atoms (fractional coordinates):
Na 0.087 0.298 0.466
Na 0.202 0.413 0.966
Na 0.298 0.913 0.534
Na 0.413 0.798 0.034
Na 0.587 0.202 0.034
Na 0.702 0.087 0.534
Na 0.798 0.587 0.966
Na 0.913 0.702 0.466
Co 0.000 0.000 0.000
Co 0.500 0.500 0.500
S 0.084 0.776 0.834
S 0.224 0.084 0.166
S 0.276 0.584 0.334
S 0.416 0.276 0.666
S 0.584 0.724 0.666
S 0.724 0.416 0.334
S 0.776 0.916 0.166
S 0.916 0.224 0.834

Top 10 peaks for 10 to 90 degrees two-theta, in order of rising 2θ:
2θ (°), Rel. int.
16.2, 34
17.6, 89
26.7, 31
29.2, 100
29.3, 20
37.6, 45
39.3, 52
46.2, 30
49.0, 44
61.7, 25

Entry 3:
Structure and theoretical X-ray diffraction stick pattern of Nb4Co2NiSe12 (DFT lattice parameters and positions (GGA-PBE); Cu Ka).
Kinematic intensities with the Lorentz-polarization factor, no thermal factor.

Atomic structure:
Cell lengths 6.976, 6.976, 19.181 Å; angles 109.06, 109.06, 28.35 degrees
Atoms (fractional coordinates):
Nb 0.117 0.117 0.146
Nb 0.242 0.242 0.406
Nb 0.758 0.758 0.594
Nb 0.883 0.883 0.854
Co 0.274 0.274 0.720
Co 0.726 0.726 0.280
Ni 0.500 0.500 0.000
Se 0.099 0.099 0.278
Se 0.125 0.125 0.610
Se 0.307 0.307 0.232
Se 0.319 0.319 0.933
Se 0.371 0.371 0.549
Se 0.462 0.462 0.110
Se 0.538 0.538 0.890
Se 0.629 0.629 0.451
Se 0.681 0.681 0.067
Se 0.693 0.693 0.768
Se 0.875 0.875 0.390
Se 0.901 0.901 0.722

Top 10 peaks for 10 to 90 degrees two-theta, in order of rising 2θ:
2θ (°), Rel. int.
13.1, 100
13.9, 30
14.1, 33
29.7, 46
33.0, 26
35.3, 72
37.1, 53
40.2, 39
44.4, 28
53.6, 30